Record 1
Computed X-ray diffraction stick pattern
Compound: Na5B7C3
Radiation: Cu Kα (λ = 1.5418 Å)
Structure: the GGA-PBE geometry in Alexandria
Intensities are scaled so that the largest is 100.

Principal peaks in the range 10 to 90 degrees two-theta, sorted by position:
two_theta, Rel. int.
35.7, 19.2
41.7, 100.0
41.9, 50.9
42.2, 38.0
64.5, 17.2
80.1, 18.0

Cell and atoms:
abc: 4.9920 7.6910 9.0515
angles: 72.28 89.98 71.06
Fractional coordinates of all 30 atoms:
Na 0.0000 0.0000 0.0000
Na 0.0945 0.8033 0.4914
Na 0.1968 0.6008 0.9990
Na 0.2978 0.4026 0.4948
Na 0.3986 0.2001 0.9995
Na 0.4971 0.0035 0.4927
Na 0.5983 0.8005 0.9997
Na 0.6957 0.6036 0.4913
Na 0.7970 0.4003 0.9988
Na 0.9003 0.2015 0.4943
B 0.0153 0.3029 0.7456
B 0.0796 0.5131 0.7465
B 0.1047 0.1135 0.2458
B 0.2164 0.9004 0.7461
B 0.2799 0.1015 0.7455
B 0.3164 0.6899 0.2467
B 0.3798 0.9013 0.2473
B 0.4913 0.6895 0.7466
B 0.5128 0.3017 0.2454
B 0.6312 0.1016 0.7459
B 0.6591 0.3191 0.7461
B 0.7308 0.9016 0.2468
B 0.8766 0.8837 0.7463
B 0.9128 0.5021 0.2456
C 0.1722 0.3081 0.2447
C 0.4057 0.5051 0.7469
C 0.5781 0.4962 0.2454
C 0.7788 0.1045 0.2459
C 0.8096 0.6973 0.7470
C 0.9818 0.6987 0.2469



Record 2
Computed X-ray diffraction stick pattern
Compound: ScTa2Pt9
Radiation: Cu Kα (λ = 1.5418 Å)
Structure: the GGA-PBE geometry in Alexandria
Intensities are scaled so that the largest is 100.

Principal peaks in the range 10 to 90 degrees two-theta, sorted by position:
two_theta, Rel. int.
39.0, 100.0
45.1, 16.3
45.4, 32.8
65.9, 21.4
79.2, 12.6
79.5, 25.8

Cell and atoms:
abc: 3.9977 3.9977 12.0494
angles: 90.00 90.00 90.00
Fractional coordinates of all 12 atoms:
Sc 0.0000 0.0000 0.0000
Ta 0.0000 0.0000 0.3295
Ta 0.0000 0.0000 0.6705
Pt 0.0000 0.5000 0.1714
Pt 0.0000 0.5000 0.5000
Pt 0.0000 0.5000 0.8286
Pt 0.5000 0.0000 0.1714
Pt 0.5000 0.0000 0.5000
Pt 0.5000 0.0000 0.8286
Pt 0.5000 0.5000 0.0000
Pt 0.5000 0.5000 0.3366
Pt 0.5000 0.5000 0.6634



Record 3
Computed X-ray diffraction stick pattern
Compound: BaLa2ScTc
Radiation: Cu Kα (λ = 1.5418 Å)
Structure: the GGA-PBE geometry in Alexandria
Intensities are scaled so that the largest is 100.

Principal peaks in the range 10 to 90 degrees two-theta, sorted by position:
two_theta, Rel. int.
22.8, 47.4
27.9, 100.0
32.0, 87.2
33.0, 40.1
46.6, 60.1
57.6, 31.6

Cell and atoms:
abc: 5.5990 5.5990 5.4331
angles: 90.00 90.00 90.00
Fractional coordinates of all 5 atoms:
Ba 0.0000 0.0000 0.0000
La 0.0000 0.5000 0.5000
La 0.5000 0.0000 0.5000
Sc 0.5000 0.5000 0.0000
Tc 0.5000 0.5000 0.5000



Record 4
Computed X-ray diffraction stick pattern
Compound: Mg3Ga11
Radiation: Cu Kα (λ = 1.5418 Å)
Structure: the GGA-PBE geometry in Alexandria
Intensities are scaled so that the largest is 100.

Principal peaks in the range 10 to 90 degrees two-theta, sorted by position:
two_theta, Rel. int.
35.2, 100.0
36.6, 45.7
37.8, 43.1
38.7, 81.3
41.7, 94.2
45.9, 74.3

Cell and atoms:
abc: 7.9918 7.9918 7.9918
angles: 146.15 102.25 87.55
Fractional coordinates of all 14 atoms:
Mg 0.0000 0.0000 0.0000
Mg 0.2814 0.2814 0.0000
Mg 0.7186 0.7186 0.0000
Ga 0.0072 0.6353 0.3720
Ga 0.1298 0.8525 0.2773
Ga 0.2633 0.6353 0.6280
Ga 0.3462 0.5000 0.8462
Ga 0.4248 0.1475 0.2773
Ga 0.5000 0.0000 0.5000
Ga 0.5752 0.8525 0.7227
Ga 0.6538 0.5000 0.1538
Ga 0.7367 0.3647 0.3720
Ga 0.8702 0.1475 0.7227
Ga 0.9928 0.3647 0.6280



Record 5
Computed X-ray diffraction stick pattern
Compound: Ho3Al3Co2
Radiation: Cu Kα (λ = 1.5418 Å)
Structure: the GGA-PBE geometry in Alexandria
Intensities are scaled so that the largest is 100.

Principal peaks in the range 10 to 90 degrees two-theta, sorted by position:
two_theta, Rel. int.
31.1, 68.0
34.1, 100.0
34.2, 56.2
37.7, 52.7
38.3, 54.6
39.9, 57.7

Cell and atoms:
abc: 7.3777 14.8982 5.7255
angles: 90.00 90.00 90.00
Fractional coordinates of all 32 atoms:
Ho 0.0323 0.1079 0.1057
Ho 0.0323 0.3921 0.1057
Ho 0.1672 0.2500 0.6366
Ho 0.3328 0.7500 0.1366
Ho 0.4677 0.6079 0.6057
Ho 0.4677 0.8921 0.6057
Ho 0.5323 0.1079 0.3943
Ho 0.5323 0.3921 0.3943
Ho 0.6672 0.2500 0.8634
Ho 0.8328 0.7500 0.3634
Ho 0.9677 0.6079 0.8943
Ho 0.9677 0.8921 0.8943
Al 0.1601 0.0359 0.5978
Al 0.1601 0.4641 0.5978
Al 0.1767 0.7500 0.6188
Al 0.3233 0.2500 0.1188
Al 0.3399 0.5359 0.0978
Al 0.3399 0.9641 0.0978
Al 0.6601 0.0359 0.9022
Al 0.6601 0.4641 0.9022
Al 0.6767 0.7500 0.8812
Al 0.8233 0.2500 0.3812
Al 0.8399 0.5359 0.4022
Al 0.8399 0.9641 0.4022
Co 0.1370 0.6070 0.3758
Co 0.1370 0.8930 0.3758
Co 0.3630 0.1070 0.8758
Co 0.3630 0.3930 0.8758
Co 0.6370 0.6070 0.1242
Co 0.6370 0.8930 0.1242
Co 0.8630 0.1070 0.6242
Co 0.8630 0.3930 0.6242



Record 6
Computed X-ray diffraction stick pattern
Compound: Ca2TeCl
Radiation: Cu Kα (λ = 1.5418 Å)
Structure: the GGA-PBE geometry in Alexandria
Intensities are scaled so that the largest is 100.

Principal peaks in the range 10 to 90 degrees two-theta, sorted by position:
two_theta, Rel. int.
24.8, 34.0
28.5, 100.0
34.5, 24.9
39.3, 34.9
42.2, 34.4
43.3, 19.7

Cell and atoms:
abc: 10.0331 10.0331 10.0331
angles: 24.63 24.63 24.63
Fractional coordinates of all 4 atoms:
Ca 0.0000 0.0000 0.0000
Ca 0.1983 0.1983 0.1983
Te 0.5991 0.5991 0.5991
Cl 0.3783 0.3783 0.3783



Record 7
Computed X-ray diffraction stick pattern
Compound: Sm3TmHg2
Radiation: Cu Kα (λ = 1.5418 Å)
Structure: the GGA-PBE geometry in Alexandria
Intensities are scaled so that the largest is 100.

Principal peaks in the range 10 to 90 degrees two-theta, sorted by position:
two_theta, Rel. int.
20.9, 100.0
32.4, 69.2
34.1, 39.8
34.4, 38.7
34.9, 77.7
60.9, 31.4

Cell and atoms:
abc: 9.0123 9.0123 9.0123
angles: 132.87 70.74 130.50
Fractional coordinates of all 12 atoms:
Sm 0.0225 0.7500 0.2725
Sm 0.2500 0.2500 0.0000
Sm 0.4775 0.7500 0.7275
Sm 0.5225 0.2500 0.2725
Sm 0.7500 0.7500 0.0000
Sm 0.9775 0.2500 0.7275
Tm 0.0000 0.5000 0.5000
Tm 0.5000 0.0000 0.5000
Hg 0.1374 0.2037 0.3411
Hg 0.3626 0.7037 0.0663
Hg 0.6374 0.2963 0.9337
Hg 0.8626 0.7963 0.6589



Record 8
Computed X-ray diffraction stick pattern
Compound: Na3I2Br
Radiation: Cu Kα (λ = 1.5418 Å)
Structure: the GGA-PBE geometry in Alexandria
Intensities are scaled so that the largest is 100.

Principal peaks in the range 10 to 90 degrees two-theta, sorted by position:
two_theta, Rel. int.
23.9, 100.0
27.0, 90.0
28.8, 39.1
38.6, 34.2
39.9, 62.1
45.9, 34.1

Cell and atoms:
abc: 9.8661 9.8661 9.8661
angles: 152.66 152.66 39.06
Fractional coordinates of all 6 atoms:
Na 0.0000 0.0000 0.0000
Na 0.3415 0.3415 0.0000
Na 0.6585 0.6585 0.0000
I 0.1666 0.1666 0.0000
I 0.8334 0.8334 0.0000
Br 0.5000 0.5000 0.0000



Record 9
Computed X-ray diffraction stick pattern
Compound: OsRu4W
Radiation: Cu Kα (λ = 1.5418 Å)
Structure: the GGA-PBE geometry in Alexandria
Intensities are scaled so that the largest is 100.

Principal peaks in the range 10 to 90 degrees two-theta, sorted by position:
two_theta, Rel. int.
37.7, 23.6
41.4, 37.4
43.2, 100.0
43.3, 48.3
57.3, 21.5
76.8, 27.1

Cell and atoms:
abc: 4.3620 7.2692 7.2692
angles: 21.87 90.00 90.00
Fractional coordinates of all 6 atoms:
Os 0.0000 0.0000 0.0000
Ru 0.0000 0.3340 0.3340
Ru 0.0000 0.6664 0.6664
Ru 0.5000 0.5524 0.5524
Ru 0.5000 0.8886 0.8886
W 0.5000 0.2226 0.2226



Record 10
Computed X-ray diffraction stick pattern
Compound: Ba8Cd2Hg
Radiation: Cu Kα (λ = 1.5418 Å)
Structure: the GGA-PBE geometry in Alexandria
Intensities are scaled so that the largest is 100.

Principal peaks in the range 10 to 90 degrees two-theta, sorted by position:
two_theta, Rel. int.
24.8, 55.1
26.2, 100.0
28.3, 38.6
28.5, 34.4
29.0, 33.1
31.5, 42.6

Cell and atoms:
abc: 9.4392 9.4392 7.3224
angles: 100.84 100.84 111.73
Fractional coordinates of all 11 atoms:
Ba 0.0000 0.0000 0.0000
Ba 0.0146 0.2754 0.5852
Ba 0.1428 0.5653 0.1868
Ba 0.2754 0.0146 0.5852
Ba 0.4252 0.6881 0.7953
Ba 0.5653 0.1428 0.1868
Ba 0.6881 0.4252 0.7953
Ba 0.7106 0.7106 0.3695
Cd 0.0373 0.6648 0.6906
Cd 0.6648 0.0373 0.6906
Hg 0.3523 0.3523 0.9900



Record 11
Computed X-ray diffraction stick pattern
Compound: TbPr4Tl2
Radiation: Cu Kα (λ = 1.5418 Å)
Structure: the GGA-PBE geometry in Alexandria
Intensities are scaled so that the largest is 100.

Principal peaks in the range 10 to 90 degrees two-theta, sorted by position:
two_theta, Rel. int.
27.8, 27.4
30.2, 100.0
31.6, 39.1
31.8, 43.7
32.0, 43.4
32.9, 33.1

Cell and atoms:
abc: 4.9375 5.9570 8.4044
angles: 98.18 96.10 105.26
Fractional coordinates of all 7 atoms:
Tb 0.0000 0.0000 0.0000
Pr 0.2989 0.9402 0.6730
Pr 0.5000 0.5000 0.0000
Pr 0.5000 0.5000 0.5000
Pr 0.7011 0.0598 0.3270
Tl 0.0523 0.6501 0.2688
Tl 0.9477 0.3499 0.7312



Record 12
Computed X-ray diffraction stick pattern
Compound: Mg6HgH12
Radiation: Cu Kα (λ = 1.5418 Å)
Structure: the GGA-PBE geometry in Alexandria
Intensities are scaled so that the largest is 100.

Principal peaks in the range 10 to 90 degrees two-theta, sorted by position:
two_theta, Rel. int.
16.3, 77.1
18.6, 59.0
24.8, 26.5
26.8, 41.3
31.2, 100.0
38.0, 54.8

Cell and atoms:
abc: 6.0063 6.0063 6.0063
angles: 104.80 104.80 104.80
Fractional coordinates of all 19 atoms:
Mg 0.2379 0.2379 0.6256
Mg 0.2379 0.6256 0.2379
Mg 0.3744 0.7621 0.7621
Mg 0.6256 0.2379 0.2379
Mg 0.7621 0.3744 0.7621
Mg 0.7621 0.7621 0.3744
Hg 0.0000 0.0000 0.0000
H 0.1306 0.5000 0.8694
H 0.1306 0.8694 0.5000
H 0.1774 0.4657 0.4657
H 0.4657 0.1774 0.4657
H 0.4657 0.4657 0.1774
H 0.5000 0.1306 0.8694
H 0.5000 0.8694 0.1306
H 0.5343 0.5343 0.8226
H 0.5343 0.8226 0.5343
H 0.8226 0.5343 0.5343
H 0.8694 0.1306 0.5000
H 0.8694 0.5000 0.1306